[1]
Computed powder X-ray diffraction pattern
Compound: PmIn2Cl5
Radiation: Cu Kα X-rays
Structure: a PBE-relaxed structure

a b c (Å): 13.0311 8.7417 8.2922
angles (deg): 90.00 90.00 90.00
Element x y z (fractional)
Pm1 0.0046 0.2500 0.0750
Pm2 0.4954 0.7500 0.5750
Pm3 0.5046 0.2500 0.4250
Pm4 0.9954 0.7500 0.9250
In1 0.1730 0.0047 0.5501
In2 0.1730 0.4953 0.5501
In3 0.3270 0.5047 0.0501
In4 0.3270 0.9953 0.0501
In5 0.6730 0.0047 0.9499
In6 0.6730 0.4953 0.9499
In7 0.8270 0.5047 0.4499
In8 0.8270 0.9953 0.4499
Cl1 0.0079 0.2500 0.4118
Cl2 0.0728 0.5446 0.1619
Cl3 0.0728 0.9554 0.1619
Cl4 0.1822 0.2500 0.8929
Cl5 0.2014 0.7500 0.8422
Cl6 0.2986 0.2500 0.3422
Cl7 0.3178 0.7500 0.3929
Cl8 0.4272 0.0446 0.6619
Cl9 0.4272 0.4554 0.6619
Cl10 0.4921 0.7500 0.9118
Cl11 0.5079 0.2500 0.0882
Cl12 0.5728 0.5446 0.3381
Cl13 0.5728 0.9554 0.3381
Cl14 0.6822 0.2500 0.6071
Cl15 0.7014 0.7500 0.6578
Cl16 0.7986 0.2500 0.1578
Cl17 0.8178 0.7500 0.1071
Cl18 0.9272 0.0446 0.8381
Cl19 0.9272 0.4554 0.8381
Cl20 0.9921 0.7500 0.5882

The 6 most intense peaks (10 to 90 degrees two-theta), in order of rising 2θ:
23.1°, 3.848 Å, I = 1000; 24.0°, 3.707 Å, I = 827; 24.5°, 3.630 Å, I = 534; 30.5°, 2.931 Å, I = 544; 32.8°, 2.731 Å, I = 557; 41.8°, 2.161 Å, I = 504

***

[2]
Computed powder X-ray diffraction pattern
Compound: PuIn2Cl6
Radiation: Cu Kα X-rays
Structure: a PBE-relaxed structure

a b c (Å): 8.5053 8.5053 8.5053
angles (deg): 146.43 130.65 61.01
Element x y z (fractional)
Pu1 0.0000 0.0000 0.0000
In1 0.3327 0.3327 0.0000
In2 0.6673 0.6673 0.0000
Cl1 0.0830 0.8494 0.2335
Cl2 0.2198 0.5000 0.7198
Cl3 0.3841 0.1506 0.2335
Cl4 0.6159 0.8494 0.7665
Cl5 0.7802 0.5000 0.2802
Cl6 0.9170 0.1506 0.7665

The 6 most intense peaks (10 to 90 degrees two-theta), in order of rising 2θ:
22.0°, 4.033 Å, I = 1000; 36.2°, 2.480 Å, I = 573; 36.6°, 2.456 Å, I = 145; 42.4°, 2.131 Å, I = 182; 43.1°, 2.097 Å, I = 174; 43.3°, 2.090 Å, I = 171

***

[3]
Computed powder X-ray diffraction pattern
Compound: Rb2InCl5
Radiation: Cu Kα X-rays
Structure: a PBE-relaxed structure

a b c (Å): 7.2221 7.2221 7.2221
angles (deg): 114.81 114.81 99.24
Element x y z (fractional)
Rb1 0.0000 0.5000 0.5000
Rb2 0.5000 0.0000 0.5000
In1 0.2877 0.2877 0.0000
Cl1 0.0110 0.0110 0.5542
Cl2 0.0110 0.4568 0.0000
Cl3 0.4568 0.0110 0.0000
Cl4 0.4568 0.4568 0.4458
Cl5 0.5447 0.5447 0.0000

The 6 most intense peaks (10 to 90 degrees two-theta), in order of rising 2θ:
14.8°, 5.983 Å, I = 1000; 22.9°, 3.890 Å, I = 304; 25.0°, 3.564 Å, I = 907; 29.9°, 2.991 Å, I = 536; 32.5°, 2.751 Å, I = 742; 41.5°, 2.178 Å, I = 419

***

[4]
Computed powder X-ray diffraction pattern
Compound: RbIn6Cl8
Radiation: Cu Kα X-rays
Structure: a PBE-relaxed structure

a b c (Å): 8.1313 8.1313 8.1313
angles (deg): 90.90 90.90 90.90
Element x y z (fractional)
Rb1 0.0000 0.0000 0.0000
In1 0.2440 0.5906 0.3551
In2 0.3551 0.2440 0.5906
In3 0.4094 0.6449 0.7560
In4 0.5906 0.3551 0.2440
In5 0.6449 0.7560 0.4094
In6 0.7560 0.4094 0.6449
Cl1 0.0681 0.3490 0.7318
Cl2 0.2438 0.2438 0.2438
Cl3 0.2682 0.9319 0.6510
Cl4 0.3490 0.7318 0.0681
Cl5 0.6510 0.2682 0.9319
Cl6 0.7318 0.0681 0.3490
Cl7 0.7562 0.7562 0.7562
Cl8 0.9319 0.6510 0.2682

The 6 most intense peaks (10 to 90 degrees two-theta), in order of rising 2θ:
10.9°, 8.129 Å, I = 851; 24.3°, 3.659 Å, I = 1000; 26.8°, 3.328 Å, I = 548; 33.5°, 2.672 Å, I = 365; 34.7°, 2.583 Å, I = 371; 36.6°, 2.455 Å, I = 651

***

[5]
Computed powder X-ray diffraction pattern
Compound: Rb2VInCl6
Radiation: Cu Kα X-rays
Structure: a PBE-relaxed structure

a b c (Å): 7.4372 7.4405 7.4530
angles (deg): 62.69 62.71 62.68
Element x y z (fractional)
Rb1 0.2431 0.2437 0.2425
Rb2 0.7569 0.7563 0.7575
V1 0.0000 0.0000 0.0000
In1 0.5000 0.5000 0.5000
Cl1 0.1490 0.7933 0.2886
Cl2 0.2069 0.7123 0.8495
Cl3 0.2882 0.1500 0.7962
Cl4 0.7118 0.8500 0.2038
Cl5 0.7931 0.2877 0.1505
Cl6 0.8510 0.2067 0.7114

The 6 most intense peaks (10 to 90 degrees two-theta), in order of rising 2θ:
23.0°, 3.872 Å, I = 818; 23.9°, 3.716 Å, I = 822; 27.5°, 3.246 Å, I = 315; 33.4°, 2.681 Å, I = 1000; 40.3°, 2.236 Å, I = 309; 40.9°, 2.204 Å, I = 429

***

[6]
Computed powder X-ray diffraction pattern
Compound: InReCl
Radiation: Cu Kα X-rays
Structure: a PBE-relaxed structure

a b c (Å): 8.4418 8.1358 3.0482
angles (deg): 85.12 73.79 21.09
Element x y z (fractional)
In1 0.0000 0.0000 0.0000
Re1 0.3418 0.3418 0.6582
Cl1 0.7240 0.7240 0.2760

The 6 most intense peaks (10 to 90 degrees two-theta), in order of rising 2θ:
11.1°, 8.005 Å, I = 1000; 33.4°, 2.680 Å, I = 357; 33.6°, 2.668 Å, I = 253; 39.1°, 2.304 Å, I = 845; 45.4°, 1.997 Å, I = 229; 63.6°, 1.463 Å, I = 199

***

[7]
Computed powder X-ray diffraction pattern
Compound: InRh4Cl
Radiation: Cu Kα X-rays
Structure: a PBE-relaxed structure

a b c (Å): 5.2604 5.2604 5.2604
angles (deg): 60.00 60.00 60.00
Element x y z (fractional)
In1 0.0000 0.0000 0.0000
Rh1 0.1253 0.6249 0.6249
Rh2 0.6249 0.1253 0.6249
Rh3 0.6249 0.6249 0.1253
Rh4 0.6249 0.6249 0.6249
Cl1 0.2500 0.2500 0.2500

The 6 most intense peaks (10 to 90 degrees two-theta), in order of rising 2θ:
20.7°, 4.295 Å, I = 247; 40.2°, 2.243 Å, I = 1000; 42.1°, 2.148 Å, I = 518; 65.2°, 1.432 Å, I = 307; 71.8°, 1.315 Å, I = 271; 86.8°, 1.122 Å, I = 189

***

[8]
Computed powder X-ray diffraction pattern
Compound: In2Te9RuCl8
Radiation: Cu Kα X-rays
Structure: a PBE-relaxed structure

a b c (Å): 12.3977 12.3977 10.4595
angles (deg): 90.31 90.31 60.27
Element x y z (fractional)
In1 0.1505 0.1921 0.4859
In2 0.1921 0.1505 0.9859
In3 0.8079 0.8495 0.0141
In4 0.8495 0.8079 0.5141
Te1 0.2081 0.4991 0.2382
Te2 0.2083 0.7917 0.7500
Te3 0.2889 0.5657 0.8723
Te4 0.2909 0.6416 0.3681
Te5 0.3497 0.4415 0.6294
Te6 0.3584 0.7091 0.1319
Te7 0.4343 0.7111 0.6277
Te8 0.4415 0.3497 0.1294
Te9 0.4991 0.2081 0.7382
Te10 0.5009 0.7919 0.2618
Te11 0.5585 0.6503 0.8706
Te12 0.5657 0.2889 0.3723
Te13 0.6416 0.2909 0.8681
Te14 0.6503 0.5585 0.3706
Te15 0.7091 0.3584 0.6319
Te16 0.7111 0.4343 0.1277
Te17 0.7917 0.2083 0.2500
Te18 0.7919 0.5009 0.7618
Ru1 0.5000 0.5000 0.0000
Ru2 0.5000 0.5000 0.5000
Cl1 0.0050 0.8411 0.0117
Cl2 0.0203 0.3335 0.3255
Cl3 0.0536 0.2954 0.6854
Cl4 0.1589 0.9950 0.4883
Cl5 0.1715 0.3544 0.9891
Cl6 0.2954 0.0536 0.1854
Cl7 0.3335 0.0203 0.8255
Cl8 0.3544 0.1715 0.4891
Cl9 0.6456 0.8285 0.5109
Cl10 0.6665 0.9797 0.1745
Cl11 0.7046 0.9464 0.8146
Cl12 0.8285 0.6456 0.0109
Cl13 0.8411 0.0050 0.5117
Cl14 0.9464 0.7046 0.3146
Cl15 0.9797 0.6665 0.6745
Cl16 0.9950 0.1589 0.9883

The 6 most intense peaks (10 to 90 degrees two-theta), in order of rising 2θ:
14.3°, 6.205 Å, I = 533; 22.2°, 4.005 Å, I = 1000; 23.7°, 3.751 Å, I = 551; 30.1°, 2.972 Å, I = 488; 30.2°, 2.957 Å, I = 504; 34.6°, 2.595 Å, I = 432

***

[9]
Computed powder X-ray diffraction pattern
Compound: In2SCl
Radiation: Cu Kα X-rays
Structure: a PBE-relaxed structure

a b c (Å): 6.6611 6.6611 6.6611
angles (deg): 110.22 110.22 107.97
Element x y z (fractional)
In1 0.0972 0.1250 0.4722
In2 0.3750 0.9028 0.0278
In3 0.6528 0.6250 0.5278
In4 0.8750 0.3472 0.9722
S1 0.0000 0.0000 0.0000
S2 0.7500 0.2500 0.5000
Cl1 0.2500 0.7500 0.5000
Cl2 0.5000 0.5000 0.0000

The 6 most intense peaks (10 to 90 degrees two-theta), in order of rising 2θ:
23.3°, 3.810 Å, I = 324; 28.2°, 3.168 Å, I = 1000; 33.3°, 2.694 Å, I = 464; 44.1°, 2.052 Å, I = 511; 47.7°, 1.905 Å, I = 145; 52.5°, 1.742 Å, I = 249

***

[10]
Computed powder X-ray diffraction pattern
Compound: InS3Cl3
Radiation: Cu Kα X-rays
Structure: a PBE-relaxed structure

a b c (Å): 8.3857 8.7615 8.9194
angles (deg): 66.64 63.15 72.94
Element x y z (fractional)
In1 0.1190 0.2417 0.3139
In2 0.8810 0.7583 0.6861
S1 0.2323 0.6660 0.5634
S2 0.2426 0.4821 0.8020
S3 0.2562 0.4144 0.5960
S4 0.7438 0.5856 0.4040
S5 0.7574 0.5179 0.1980
S6 0.7677 0.3340 0.4366
Cl1 0.1765 0.0363 0.5651
Cl2 0.2356 0.1468 0.0627
Cl3 0.2458 0.4884 0.2255
Cl4 0.7542 0.5116 0.7745
Cl5 0.7644 0.8532 0.9373
Cl6 0.8235 0.9637 0.4349

The 6 most intense peaks (10 to 90 degrees two-theta), in order of rising 2θ:
11.7°, 7.567 Å, I = 438; 11.9°, 7.409 Å, I = 618; 13.1°, 6.734 Å, I = 330; 13.4°, 6.612 Å, I = 1000; 17.4°, 5.083 Å, I = 371; 24.0°, 3.703 Å, I = 401

***

[11]
Computed powder X-ray diffraction pattern
Compound: InS5Cl
Radiation: Cu Kα X-rays
Structure: a PBE-relaxed structure

a b c (Å): 10.6158 10.6158 4.5756
angles (deg): 95.95 95.95 151.36
Element x y z (fractional)
In1 0.0000 0.0000 0.0000
S1 0.3883 0.5111 0.2591
S2 0.4889 0.6117 0.7409
S3 0.5501 0.1486 0.2605
S4 0.7604 0.2396 0.0000
S5 0.8514 0.4499 0.7395
Cl1 0.0632 0.9368 0.5000

The 6 most intense peaks (10 to 90 degrees two-theta), in order of rising 2θ:
17.2°, 5.143 Å, I = 925; 19.1°, 4.645 Å, I = 271; 22.1°, 4.017 Å, I = 410; 22.7°, 3.915 Å, I = 1000; 27.6°, 3.232 Å, I = 337; 30.8°, 2.903 Å, I = 492

***

[12]
Computed powder X-ray diffraction pattern
Compound: InSeCl2
Radiation: Cu Kα X-rays
Structure: a PBE-relaxed structure

a b c (Å): 7.1048 5.1069 13.2159
angles (deg): 90.00 90.00 90.00
Element x y z (fractional)
In1 0.2500 0.0000 0.0638
In2 0.2500 0.5000 0.4362
In3 0.7500 0.0000 0.9362
In4 0.7500 0.5000 0.5638
Se1 0.1836 0.2500 0.2500
Se2 0.3164 0.7500 0.2500
Se3 0.6836 0.2500 0.7500
Se4 0.8164 0.7500 0.7500
Cl1 0.0794 0.2494 0.5721
Cl2 0.0794 0.2506 0.9279
Cl3 0.4206 0.7494 0.9279
Cl4 0.4206 0.7506 0.5721
Cl5 0.5794 0.2494 0.4279
Cl6 0.5794 0.2506 0.0721
Cl7 0.9206 0.7494 0.0721
Cl8 0.9206 0.7506 0.4279

The 6 most intense peaks (10 to 90 degrees two-theta), in order of rising 2θ:
14.2°, 6.258 Å, I = 1000; 18.6°, 4.764 Å, I = 584; 25.4°, 3.512 Å, I = 342; 29.6°, 3.019 Å, I = 296; 31.4°, 2.848 Å, I = 324; 42.9°, 2.110 Å, I = 535